Record 1
Theoretical X-ray diffraction stick pattern
Compound: CrSb3Pb4O13
Radiation: a wavelength of 1.5418 Å
Structure: a crystal structure in the Materials Project, relaxed with PBE+U
Lines closer than 0.1° are merged.

Structural model:
Cell: 7.5465 7.5465 18.2487 Å, 90.00 90.00 120.00°
Space group R3m (No. 160, hexagonal axes)
Unique sites:
Cr  0.0000  0.0000  0.0000
Sb  0.1671  0.3341  0.8326
Pb  0.0000  0.0000  0.5009
Pb  0.1686  0.3372  0.3320
O  0.0000  0.0000  0.3750
O  0.0663  0.5331  0.6057
O  0.0711  0.5355  0.8558
O  0.2009  0.4018  0.4755
O  0.2018  0.4036  0.7270

Main lines, in order of rising 2θ (10° ≤ 2θ ≤ 90°):
2θ/deg, I/Imax
14.4, 11
29.0, 100
29.4, 32
33.7, 50
48.2, 29
48.7, 28
57.3, 15
57.5, 29
57.9, 15
60.2, 12
78.1, 13
80.6, 11

***

Record 2
Theoretical X-ray diffraction stick pattern
Compound: CrPdO2
Radiation: a wavelength of 1.5418 Å
Structure: a crystal structure in the Materials Project, relaxed with PBE+U
Lines closer than 0.1° are merged.

Structural model:
Cell: 5.1880 3.0060 6.3318 Å, 90.00 105.71 90.00°
Space group P2_1/m (No. 11)
Unique sites:
Cr  0.2489  0.2500  0.0002
Pd  0.2507  0.7500  0.5010
O  0.1401  0.7500  0.1685
O  0.3611  0.7500  0.8338

Main lines, in order of rising 2θ (10° ≤ 2θ ≤ 90°):
2θ/deg, I/Imax
14.5, 13
29.3, 43
34.8, 16
34.9, 8
35.9, 100
39.9, 31
40.0, 15
53.4, 37
61.7, 8
61.9, 16
62.0, 15
62.2, 7

***

Record 3
Theoretical X-ray diffraction stick pattern
Compound: PrCrO3
Radiation: a wavelength of 1.5418 Å
Structure: a crystal structure in the Materials Project, relaxed with PBE+U
Lines closer than 0.1° are merged.

Structural model:
Cell: 3.8868 3.8868 3.8868 Å, 90.00 90.00 90.00°
Space group Pm-3m (No. 221)
Unique sites:
Pr  0.0000  0.0000  0.0000
Cr  0.5000  0.5000  0.5000
O  0.0000  0.5000  0.5000

Main lines, in order of rising 2θ (10° ≤ 2θ ≤ 90°):
2θ/deg, I/Imax
22.9, 18
32.6, 100
40.2, 22
46.7, 32
52.7, 9
58.1, 38
68.3, 19
73.0, 5
77.7, 16
82.3, 7
86.8, 6

***

Record 4
Theoretical X-ray diffraction stick pattern
Compound: PrCrO3
Radiation: a wavelength of 1.5418 Å
Structure: a crystal structure in the Materials Project, relaxed with PBE+U
Lines closer than 0.1° are merged.

Structural model:
Cell: 5.6330 7.8394 5.5108 Å, 90.00 90.00 90.00°
Space group Pnma (No. 62)
Unique sites:
Pr  0.0484  0.2500  0.0118
Cr  0.0000  0.0000  0.5000
O  0.0229  0.7500  0.4137
O  0.2092  0.5462  0.7917

Main lines, in order of rising 2θ (10° ≤ 2θ ≤ 90°):
2θ/deg, I/Imax
22.6, 18
22.7, 11
31.8, 21
32.2, 100
32.5, 24
40.0, 13
46.1, 24
46.3, 15
52.8, 12
56.9, 11
57.8, 33
67.4, 12

***

Record 5
Theoretical X-ray diffraction stick pattern
Compound: PrCrO4
Radiation: a wavelength of 1.5418 Å
Structure: a crystal structure in the Materials Project, relaxed with PBE+U
Lines closer than 0.1° are merged.

Structural model:
Cell: 7.4811 7.4811 6.4824 Å, 90.00 90.00 90.00°
Space group I4_1/amd (No. 141, origin choice 2)
Unique sites:
Pr  0.0000  0.2500  0.3750
Cr  0.0000  0.2500  0.8750
O  0.0000  0.0705  0.7076

Main lines, in order of rising 2θ (10° ≤ 2θ ≤ 90°):
2θ/deg, I/Imax
18.1, 26
23.8, 100
32.4, 67
33.9, 21
38.7, 13
45.9, 12
47.6, 57
48.7, 15
54.9, 13
59.7, 17
70.4, 14
80.5, 11

***

Record 6
Theoretical X-ray diffraction stick pattern
Compound: SrPrCrSnO6
Radiation: a wavelength of 1.5418 Å
Structure: a crystal structure in the Materials Project, relaxed with PBE+U
Lines closer than 0.1° are merged.

Structural model:
Cell: 8.0275 8.0275 8.0275 Å, 90.00 90.00 90.00°
Space group F-43m (No. 216)
Unique sites:
Sr  0.0000  0.0000  0.0000
Pr  0.0000  0.0000  0.5000
Cr  0.2500  0.2500  0.2500
Sn  0.2500  0.2500  0.7500
O  0.0034  0.2500  0.2500

Main lines, in order of rising 2θ (10° ≤ 2θ ≤ 90°):
2θ/deg, I/Imax
19.1, 11
31.5, 100
37.1, 7
38.9, 6
45.2, 33
49.5, 4
56.1, 40
59.9, 3
65.8, 20
69.2, 3
74.8, 17
83.4, 7

***

Record 7
Theoretical X-ray diffraction stick pattern
Compound: PrZnCr2O6
Radiation: a wavelength of 1.5418 Å
Structure: a crystal structure in the Materials Project, relaxed with PBE+U
Lines closer than 0.1° are merged.

Structural model:
Cell: 7.7557 5.4046 5.3068 Å, 90.00 90.00 90.00°
Space group Pmn2_1 (No. 31)
Unique sites:
Pr  0.0000  0.2011  0.0000
Zn  0.0000  0.7205  0.4832
Cr  0.2486  0.2573  0.4882
O  0.0000  0.3073  0.5740
O  0.0000  0.7716  0.8668
O  0.1921  0.9414  0.2989
O  0.1975  0.4617  0.2107

Main lines, in order of rising 2θ (10° ≤ 2θ ≤ 90°):
2θ/deg, I/Imax
20.0, 7
20.3, 7
33.1, 100
33.8, 18
46.9, 12
48.1, 19
58.6, 9
59.0, 9
59.2, 11
60.0, 19
69.4, 10
78.1, 7

***

Record 8
Theoretical X-ray diffraction stick pattern
Compound: CrPtO2
Radiation: a wavelength of 1.5418 Å
Structure: a crystal structure in the Materials Project, relaxed with PBE+U
Lines closer than 0.1° are merged.

Structural model:
Cell: 6.3860 2.9487 5.1740 Å, 90.00 105.94 90.00°
Space group P2/c (No. 13)
Unique sites:
Cr  0.0000  0.2470  0.2500
Pt  0.5000  0.2517  0.7500
O  0.1693  0.2528  0.6390

Main lines, in order of rising 2θ (10° ≤ 2θ ≤ 90°):
2θ/deg, I/Imax
14.4, 98
29.1, 74
35.0, 23
35.4, 45
36.1, 51
36.4, 100
39.9, 28
40.3, 55
49.7, 14
53.4, 55
62.1, 23
62.4, 24

***

Repeat the eighth record exactly.
Theoretical X-ray diffraction stick pattern
Compound: CrPtO2
Radiation: a wavelength of 1.5418 Å
Structure: a crystal structure in the Materials Project, relaxed with PBE+U
Lines closer than 0.1° are merged.

Structural model:
Cell: 6.3860 2.9487 5.1740 Å, 90.00 105.94 90.00°
Space group P2/c (No. 13)
Unique sites:
Cr  0.0000  0.2470  0.2500
Pt  0.5000  0.2517  0.7500
O  0.1693  0.2528  0.6390

Main lines, in order of rising 2θ (10° ≤ 2θ ≤ 90°):
2θ/deg, I/Imax
14.4, 98
29.1, 74
35.0, 23
35.4, 45
36.1, 51
36.4, 100
39.9, 28
40.3, 55
49.7, 14
53.4, 55
62.1, 23
62.4, 24